Structure and computed powder diffractogram of YMnCoGe2 (a GGA-PBE-relaxed structure; copper Kα).
Peak positions follow from Bragg's law for the DFT cell and can differ from measured ones.

Crystal structure
a b c (Å): 3.975 3.975 10.465
angles (deg): 90.00 90.00 90.00
Space group I-4m2 (No. 119)
Inequivalent atoms, fractional coordinates:
Y1 0.000 0.000 0.000
Mn1 0.000 0.500 0.750
Co1 0.000 0.500 0.250
Ge1 0.000 0.000 0.378

Top 12 peaks for 10 to 80 degrees two-theta, in order of rising 2θ:
- hkl 1 1 0, 2θ = 31.84°, rel. 23
- hkl 1 0 3, 2θ = 34.20°, rel. 96
- hkl 1 1 2, 2θ = 36.28°, rel. 100
- hkl 2 0 0, 2θ = 45.64°, rel. 72
- hkl 1 1 4, 2θ = 47.48°, rel. 31
- hkl 1 0 5, 2θ = 49.20°, rel. 38
- hkl 2 1 3, 2θ = 58.25°, rel. 40
- hkl 1 1 6, 2θ = 62.69°, rel. 15
- hkl 2 2 0, 2θ = 66.53°, rel. 22
- hkl 2 1 5, 2θ = 69.36°, rel. 27
- hkl 3 0 3, 2θ = 76.98°, rel. 9
- hkl 3 1 2, 2θ = 78.21°, rel. 19